Computed X-ray powder pattern
Compound: V3Ir7
Radiation: Cu Kα (weighted mean of Kα1 and Kα2)
Structure: a DFT-relaxed cell (PBE, Alexandria)
Lines closer than 0.1° are merged.

Peak list (12 most intense, 10 to 90 degrees two-theta, in order of rising 2θ)
- 23.4°, I = 16
- 32.8°, I = 14
- 40.7°, I = 100
- 40.8°, I = 99
- 46.8°, I = 34
- 47.4°, I = 32
- 47.9°, I = 31
- 68.8°, I = 22
- 69.7°, I = 20
- 82.6°, I = 13
- 82.9°, I = 13
- 83.5°, I = 25

Crystal structure
Unit cell a=7.221 b=7.221 c=5.417 alpha=102.00 beta=102.00 gamma=30.83
Fractional coordinates of all 10 atoms:
V: 0.000 0.000 0.000
V: 0.195 0.195 0.612
V: 0.805 0.805 0.388
Ir: 0.000 0.000 0.500
Ir: 0.203 0.203 0.112
Ir: 0.398 0.398 0.695
Ir: 0.400 0.400 0.199
Ir: 0.600 0.600 0.801
Ir: 0.602 0.602 0.305
Ir: 0.797 0.797 0.888